This entry pairs a crystal structure of LaSmGa2Au2 with its calculated X-ray diffraction stick pattern. Radiation: Cu Kα X-rays. Structure: a GGA-PBE-relaxed structure.
Peak positions follow from Bragg's law for the DFT cell and can differ from measured ones.

Structure:
abc: 4.6307 4.6307 7.4102
angles: 90.00 90.00 120.00
Element x y z (fractional)
La: 0.0000 0.0000 0.0000
Sm: 0.0000 0.0000 0.5000
Ga: 0.6667 0.3333 0.2321
Ga: 0.6667 0.3333 0.7679
Au: 0.3333 0.6667 0.2735
Au: 0.3333 0.6667 0.7265

Largest 6 diffraction maxima, sorted by position, 2θ from 10° to 90°:
hkl 1 0 0, 2θ = 22.2°, I 18
hkl 1 0 2, 2θ = 32.9°, I 100
hkl 1 1 0, 2θ = 38.9°, I 64
hkl 2 0 2, 2θ = 51.8°, I 28
hkl 1 1 4, 2θ = 64.4°, I 24
hkl 2 1 2, 2θ = 66.7°, I 26